Computed X-ray diffraction stick pattern
Compound: CsK10Rb2
Radiation: λ = 1.5418 Å (Cu Kα)
Structure: a cell relaxed with PBE

Peak list (6 most intense, 2θ from 10° to 90°, in order of falling intensity)
hkl	d (Å)	I_rel
0 4 2	3.871	100
2 2 3	3.821	57
0 0 4	3.783	36
3 1 2	4.134	35
4 0 0	3.848	32
2 4 2	3.455	31

Atomic structure:
abc: 15.392 17.970 15.151
angles: 90.00 90.00 90.00
Space group Cmcm (No. 63)
Inequivalent atoms, fractional coordinates:
Cs 0.000 0.126 0.250 (multiplicity 4)
K 0.000 0.157 0.605 (multiplicity 8)
K 0.000 0.396 0.072 (multiplicity 8)
K 0.141 0.382 0.750 (multiplicity 8)
K 0.211 0.000 0.000 (multiplicity 8)
K 0.238 0.379 0.250 (multiplicity 8)
Rb 0.250 0.250 0.000 (multiplicity 8)



Computed X-ray diffraction stick pattern
Compound: SrCdBi2Pd2
Radiation: λ = 1.5418 Å (Cu Kα)
Structure: a cell relaxed with PBE

Peak list (6 most intense, 2θ from 10° to 90°, in order of falling intensity)
hkl	d (Å)	I_rel
1 0 2	2.763	100
2 0 0	2.536	72
2 1 2	1.869	65
1 1 0	3.587	40
0 0 1	6.590	34
1 1 2	2.427	34

Atomic structure:
abc: 5.073 5.073 6.590
angles: 90.00 90.00 90.00
Space group P4/mmm (No. 123)
Inequivalent atoms, fractional coordinates:
Sr 0.000 0.000 0.000 (multiplicity 1)
Cd 0.000 0.000 0.500 (multiplicity 1)
Bi 0.500 0.500 0.252 (multiplicity 2)
Pd 0.000 0.500 0.500 (multiplicity 2)



Computed X-ray diffraction stick pattern
Compound: SmY2HoN4
Radiation: λ = 1.5418 Å (Cu Kα)
Structure: a cell relaxed with PBE

Peak list (6 most intense, 2θ from 10° to 90°, in order of falling intensity)
hkl	d (Å)	I_rel
2 0 0	2.858	100
1 1 1	2.475	79
2 0 2	1.750	53
3 1 1	1.492	44
4 2 0	1.107	23
4 0 2	1.136	19

Atomic structure:
abc: 6.061 3.501 6.062
angles: 90.00 109.44 90.00
Space group P2/m (No. 10)
Inequivalent atoms, fractional coordinates:
Sm 0.000 0.000 0.000 (multiplicity 1)
Y 0.500 0.000 0.500 (multiplicity 1)
Y 0.500 0.500 0.000 (multiplicity 1)
Ho 0.000 0.500 0.500 (multiplicity 1)
N 0.250 0.000 0.746 (multiplicity 2)
N 0.253 0.500 0.255 (multiplicity 2)



Computed X-ray diffraction stick pattern
Compound: Ag3IrF7
Radiation: λ = 1.5418 Å (Cu Kα)
Structure: a cell relaxed with PBE

Peak list (6 most intense, 2θ from 10° to 90°, in order of falling intensity)
hkl	d (Å)	I_rel
0 2 1	3.097	100
2 0 0	3.660	78
2 2 1	2.077	60
2 2 -1	2.815	47
2 0 -2	2.962	39
4 2 -1	1.833	28

Atomic structure:
abc: 8.493 7.665 6.099
angles: 90.00 120.46 90.00
Space group Cm (No. 8)
Inequivalent atoms, fractional coordinates:
Ag 0.000 0.000 0.000 (multiplicity 2)
Ag 0.474 0.271 0.574 (multiplicity 4)
Ir 0.477 0.000 0.052 (multiplicity 2)
F 0.095 0.500 0.842 (multiplicity 2)
F 0.129 0.313 0.280 (multiplicity 4)
F 0.324 0.190 0.822 (multiplicity 4)
F 0.344 0.000 0.243 (multiplicity 2)
F 0.467 0.500 0.347 (multiplicity 2)



Computed X-ray diffraction stick pattern
Compound: DyHfOsPd
Radiation: λ = 1.5418 Å (Cu Kα)
Structure: a cell relaxed with PBE

Peak list (6 most intense, 2θ from 10° to 90°, in order of falling intensity)
hkl	d (Å)	I_rel
2 2 0	2.378	100
4 2 2	1.373	36
4 0 0	1.682	17
4 4 0	1.189	11
1 1 1	3.883	4
3 1 1	2.028	2

Atomic structure:
abc: 6.726 6.726 6.726
angles: 90.00 90.00 90.00
Space group F-43m (No. 216)
Inequivalent atoms, fractional coordinates:
Dy 0.000 0.000 0.000 (multiplicity 4)
Hf 0.000 0.000 0.500 (multiplicity 4)
Os 0.250 0.250 0.250 (multiplicity 4)
Pd 0.250 0.250 0.750 (multiplicity 4)



Computed X-ray diffraction stick pattern
Compound: Cs2TlInCl6
Radiation: λ = 1.5418 Å (Cu Kα)
Structure: a cell relaxed with PBE

Peak list (6 most intense, 2θ from 10° to 90°, in order of falling intensity)
hkl	d (Å)	I_rel
2 2 0	3.973	100
4 0 0	2.809	49
4 2 2	2.294	45
4 4 0	1.986	34
6 4 2	1.502	26
6 2 0	1.777	24

Atomic structure:
abc: 11.237 11.237 11.237
angles: 90.00 90.00 90.00
Space group Fm-3m (No. 225)
Inequivalent atoms, fractional coordinates:
Cs 0.250 0.250 0.250 (multiplicity 8)
Tl 0.000 0.000 0.000 (multiplicity 4)
In 0.000 0.000 0.500 (multiplicity 4)
Cl 0.000 0.000 0.273 (multiplicity 24)